The following is a theoretical PXRD pattern of MgTc2B6. It was derived from a GGA-PBE-relaxed structure, using λ = 1.5418 Å (Cu Kα).

Peak list (6 most intense, 2θ from 10° to 80°, sorted by position)
| h k l | d (Å) | 2theta | I/Imax |
| --- | --- | --- | --- |
| 1 0 0 | 4.527 | 19.61 | 38 |
| 0 0 1 | 3.331 | 26.76 | 32 |
| 1 0 1 | 2.683 | 33.40 | 20 |
| 1 1 0 | 2.613 | 34.31 | 68 |
| 1 1 1 | 2.056 | 44.04 | 100 |
| 3 0 0 | 1.509 | 61.45 | 21 |

Cell and atoms:
Cell lengths 5.2268, 5.2268, 3.3315 Å; angles 90.00, 90.00, 120.00 degrees
Fractional coordinates of all 9 atoms:
Mg 0.0000 0.0000 0.0000
Tc 0.3333 0.6667 0.0000
Tc 0.6667 0.3333 0.0000
B 0.0000 0.3346 0.5000
B 0.0000 0.6654 0.5000
B 0.3346 0.0000 0.5000
B 0.3346 0.3346 0.5000
B 0.6654 0.0000 0.5000
B 0.6654 0.6654 0.5000